Record 1
For Tb6Tm2Zn, a GGA-PBE-relaxed structure gives the calculated powder diffractogram in this record (Cu Ka).

Structural model:
```
data_Tb6Tm2Zn
_symmetry_space_group_name_H-M 'P 1'
_symmetry_Int_Tables_number 1
_symmetry_space_group_name_Hall 'P 1'
_cell_length_a 10.020
_cell_length_b 10.030
_cell_length_c 5.328
_cell_angle_alpha 90.00
_cell_angle_beta 90.00
_cell_angle_gamma 90.00
loop_
_atom_site_label
_atom_site_fract_x
_atom_site_fract_y
_atom_site_fract_z
Tb1 0.041 0.186 0.000
Tb2 0.122 0.621 0.500
Tb3 0.186 0.957 0.500
Tb4 0.314 0.457 0.000
Tb5 0.378 0.121 0.000
Tb6 0.459 0.686 0.500
Tb7 0.541 0.314 0.500
Tb8 0.622 0.879 0.000
Tb9 0.686 0.543 0.000
Tb10 0.814 0.043 0.500
Tb11 0.878 0.379 0.500
Tb12 0.959 0.814 0.000
Tm1 0.215 0.284 0.500
Tm2 0.285 0.784 0.000
Tm3 0.715 0.216 0.000
Tm4 0.785 0.716 0.500
Zn1 0.000 0.500 0.000
Zn2 0.500 0.000 0.500
```

The 10 most intense peaks (10° ≤ 2θ ≤ 90°), in order of falling intensity:
d/Å  intensity
2.831  100
2.724  66
2.664  39
2.780  31
1.924  21
1.519  19
1.568  17
2.363  17
1.768  14
1.402  14

Record 2
For Ca3B2N4, a GGA-PBE-relaxed structure gives the calculated powder diffractogram in this record (Cu Ka).

Structural model:
```
data_Ca3B2N4
_symmetry_space_group_name_H-M 'P 1'
_symmetry_Int_Tables_number 1
_symmetry_space_group_name_Hall 'P 1'
_cell_length_a 5.918
_cell_length_b 5.918
_cell_length_c 8.141
_cell_angle_alpha 127.97
_cell_angle_beta 127.97
_cell_angle_gamma 35.99
loop_
_atom_site_label
_atom_site_fract_x
_atom_site_fract_y
_atom_site_fract_z
Ca1 0.000 0.000 0.000
Ca2 0.396 0.396 0.565
Ca3 0.604 0.604 0.435
B1 0.189 0.189 0.769
B2 0.811 0.811 0.231
N1 0.067 0.067 0.761
N2 0.296 0.296 0.740
N3 0.704 0.704 0.260
N4 0.933 0.933 0.239
```

The 10 most intense peaks (10° ≤ 2θ ≤ 90°), in order of falling intensity:
d/Å  intensity
2.686  100
2.540  27
2.505  26
2.653  23
1.766  20
1.828  16
6.208  15
1.907  14
2.254  14
5.619  14